# 1
For VW, DFT lattice parameters and positions (GGA-PBE) gives the simulated powder diffraction line list in this record (copper Kα).
Neutral-atom scattering factors, no anomalous dispersion.

Top 10 peaks for 10 to 90 degrees two-theta, in order of rising 2θ:
4.295 Å, I 45, (0 0 1)
2.552 Å, I 25, (1 1 0)
2.233 Å, I 26, (0 2 0)
2.194 Å, I 100, (1 1 1)
2.147 Å, I 23, (0 0 2)
1.981 Å, I 12, (0 2 1)
1.643 Å, I 14, (1 1 2)
1.548 Å, I 16, (0 2 2)
1.281 Å, I 17, (1 3 1)
1.249 Å, I 16, (1 1 3)

Lattice parameters (Å, degrees): 3.110 4.465 4.295 90.00 90.00 90.00
Space group Cmmm (No. 65)
Asymmetric unit:
1 V 0.000 0.000 0.000
2 W 0.000 0.500 0.500

# 2
For V4Zn5, DFT lattice parameters and positions (GGA-PBE) gives the simulated powder diffraction line list in this record (copper Kα).
Neutral-atom scattering factors, no anomalous dispersion.

Top 10 peaks for 10 to 90 degrees two-theta, in order of rising 2θ:
3.151 Å, I 3, (2 2 0)
2.487 Å, I 3, (2 1 1)
2.172 Å, I 100, (3 0 1)
2.101 Å, I 45, (3 3 0)
1.748 Å, I 1, (5 1 0)
1.591 Å, I 9, (0 0 2)
1.485 Å, I 13, (6 0 0)
1.468 Å, I 2, (5 2 1)
1.269 Å, I 15, (3 3 2)
1.226 Å, I 26, (6 3 1)

Lattice parameters (Å, degrees): 8.912 8.912 3.183 90.00 90.00 90.00
Space group I4/mmm (No. 139)
Asymmetric unit:
1 V 0.000 0.344 0.000
2 Zn 0.000 0.000 0.000
3 Zn 0.170 0.170 0.500

Copy entry 2 word for word.
For V4Zn5, DFT lattice parameters and positions (GGA-PBE) gives the simulated powder diffraction line list in this record (copper Kα).
Neutral-atom scattering factors, no anomalous dispersion.

Top 10 peaks for 10 to 90 degrees two-theta, in order of rising 2θ:
3.151 Å, I 3, (2 2 0)
2.487 Å, I 3, (2 1 1)
2.172 Å, I 100, (3 0 1)
2.101 Å, I 45, (3 3 0)
1.748 Å, I 1, (5 1 0)
1.591 Å, I 9, (0 0 2)
1.485 Å, I 13, (6 0 0)
1.468 Å, I 2, (5 2 1)
1.269 Å, I 15, (3 3 2)
1.226 Å, I 26, (6 3 1)

Lattice parameters (Å, degrees): 8.912 8.912 3.183 90.00 90.00 90.00
Space group I4/mmm (No. 139)
Asymmetric unit:
1 V 0.000 0.344 0.000
2 Zn 0.000 0.000 0.000
3 Zn 0.170 0.170 0.500